Computed powder XRD pattern
Compound: Rb4Pm3SnSe8
Radiation: Cu Kα
Structure: a crystal structure in Alexandria, relaxed with PBE
Intensities are scaled so that the largest is 100.

Structure:
```
16
Lattice="8.6612 0.0000 0.0000 4.3288 7.5180 0.0000 4.3280 2.5059 8.0174" Properties=species:S:1:pos:R:3 pbc="T T T"
Rb 0.0000 0.0000 0.0000
Rb 2.1644 3.7590 0.0000
Rb 4.3306 0.0000 0.0000
Rb 6.4950 3.7590 0.0000
Pm 2.1640 1.2530 4.0087
Pm 4.3284 5.0120 4.0087
Pm 6.4946 1.2530 4.0087
Sn 8.6590 5.0120 4.0087
Se 4.3237 2.5076 2.4008
Se 6.5138 6.2519 2.4272
Se 6.5307 3.7755 5.5839
Se 8.6635 7.4833 5.5868
Se 8.6545 2.5406 2.4306
Se 10.7873 6.2484 2.4335
Se 10.8041 3.7720 5.5902
Se 12.9943 7.5163 5.6165
```

Principal peaks in the range 2θ from 15° to 90°, in order of falling intensity:
2θ 28.0, I = 100, hkl 2 0 2; 2θ 41.7, I = 37, hkl 4 2 2; 2θ 38.4, I = 34, hkl 2 2 4; 2θ 51.0, I = 12, hkl 4 4 4; 2θ 67.9, I = 11, hkl 6 2 4; 2θ 35.4, I = 10, hkl 2 2 -1; 2θ 63.2, I = 10, hkl 4 2 6; 2θ 57.9, I = 10, hkl 4 0 4; 2θ 48.2, I = 7, hkl 2 0 -3; 2θ 73.8, I = 7, hkl 4 6 6